Theoretical powder diffraction line list
Compound: LiZrSc
Radiation: Cu Kα
Structure: DFT lattice parameters and positions (GGA-PBE)

The 10 most intense peaks (10 to 80 degrees two-theta), sorted by position:
d/Å	I (rel.)
3.931	100
3.404	9
2.407	78
2.053	48
1.702	13
1.562	19
1.522	4
1.390	25
1.310	14
1.204	8

Structure:
Unit cell a=4.8141 b=4.8141 c=4.8141 alpha=60.00 beta=60.00 gamma=60.00
Positions (direct):
Li1 0.0000 0.0000 0.0000
Zr1 0.2500 0.2500 0.2500
Sc1 0.5000 0.5000 0.5000

Theoretical powder diffraction line list
Compound: Nd3Ni
Radiation: Cu Kα
Structure: DFT lattice parameters and positions (GGA-PBE)

The 10 most intense peaks (10 to 80 degrees two-theta), sorted by position:
d/Å	I (rel.)
2.977	100
2.893	32
2.853	41
2.745	30
2.647	32
2.222	15
1.928	14
1.771	14
1.663	30
1.604	14

Structure:
Unit cell a=7.0831 b=10.0291 c=6.5575 alpha=90.00 beta=90.00 gamma=90.00
Positions (direct):
Nd1 0.0352 0.2500 0.1376
Nd2 0.1785 0.0656 0.6787
Nd3 0.1785 0.4344 0.6787
Nd4 0.3215 0.5656 0.1787
Nd5 0.3215 0.9344 0.1787
Nd6 0.4648 0.7500 0.6376
Nd7 0.5352 0.2500 0.3624
Nd8 0.6785 0.0656 0.8213
Nd9 0.6785 0.4344 0.8213
Nd10 0.8215 0.5656 0.3213
Nd11 0.8215 0.9344 0.3213
Nd12 0.9648 0.7500 0.8624
Ni1 0.1092 0.7500 0.4356
Ni2 0.3908 0.2500 0.9356
Ni3 0.6092 0.7500 0.0644
Ni4 0.8908 0.2500 0.5644

Theoretical powder diffraction line list
Compound: MgTe4Mo2W2Se2S2
Radiation: Cu Kα
Structure: DFT lattice parameters and positions (GGA-PBE)

The 10 most intense peaks (10 to 80 degrees two-theta), sorted by position:
d/Å	I (rel.)
7.394	50
2.940	100
2.792	38
2.598	83
2.455	33
2.448	30
2.231	71
2.225	66
1.698	57
1.668	27

Structure:
Unit cell a=3.3966 b=3.3966 c=44.3624 alpha=90.22 beta=90.22 gamma=60.01
Positions (direct):
Mg1 0.0000 0.0000 0.0000
Te1 0.0004 0.0004 0.7636
Te2 0.3313 0.3313 0.2425
Te3 0.3339 0.3339 0.3275
Te4 0.9977 0.9977 0.6790
Mo1 0.3325 0.3325 0.7213
Mo2 0.3325 0.3325 0.1015
W1 0.0007 0.0007 0.9014
W2 0.9992 0.9992 0.2850
Se1 0.0004 0.0004 0.1385
Se2 0.9980 0.9980 0.0641
S1 0.3331 0.3331 0.8677
S2 0.3351 0.3351 0.9353

Theoretical powder diffraction line list
Compound: LiSm2IrO6
Radiation: Cu Kα
Structure: DFT lattice parameters and positions (GGA-PBE)

The 10 most intense peaks (10 to 80 degrees two-theta), sorted by position:
d/Å	I (rel.)
4.646	76
4.394	44
2.910	37
2.774	100
2.749	100
2.697	52
2.340	29
1.978	33
1.928	42
1.577	34

Structure:
Unit cell a=5.3935 b=5.8205 c=9.3571 alpha=90.00 beta=124.49 gamma=90.00
Positions (direct):
Li1 0.0000 0.0000 0.0000
Li2 0.0000 0.5000 0.5000
Sm1 0.2272 0.0778 0.7479
Sm2 0.2272 0.4222 0.2479
Sm3 0.7728 0.5778 0.7521
Sm4 0.7728 0.9222 0.2521
Ir1 0.5000 0.0000 0.5000
Ir2 0.5000 0.5000 0.0000
O1 0.1443 0.1853 0.4483
O2 0.1443 0.3147 0.9483
O3 0.2676 0.7087 0.4432
O4 0.2676 0.7913 0.9432
O5 0.3613 0.0346 0.2538
O6 0.3613 0.4654 0.7538
O7 0.6387 0.5346 0.2462
O8 0.6387 0.9654 0.7462
O9 0.7324 0.2087 0.0568
O10 0.7324 0.2913 0.5568
O11 0.8557 0.6853 0.0517
O12 0.8557 0.8147 0.5517

Theoretical powder diffraction line list
Compound: PuB6
Radiation: Cu Kα
Structure: DFT lattice parameters and positions (GGA-PBE)

The 10 most intense peaks (10 to 80 degrees two-theta), sorted by position:
d/Å	I (rel.)
4.112	82
2.907	100
2.374	41
2.056	21
1.839	53
1.679	33
1.454	12
1.371	28
1.300	20
1.240	14

Structure:
Unit cell a=4.1118 b=4.1118 c=4.1118 alpha=90.00 beta=90.00 gamma=90.00
Positions (direct):
Pu1 0.0000 0.0000 0.0000
B1 0.1987 0.5000 0.5000
B2 0.5000 0.1987 0.5000
B3 0.5000 0.5000 0.1987
B4 0.5000 0.5000 0.8013
B5 0.5000 0.8013 0.5000
B6 0.8013 0.5000 0.5000